TbDyRh: simulated X-ray diffraction stick pattern (λ = 1.5418 Å (Cu Kα)), based on a PBE-relaxed structure.

Main lines, in order of falling intensity (10 to 90 degrees two-theta):
d/Å  I (rel.)  hkl
2.894  100  0 2 1
2.635  70  4 0 1
2.408  36  5 1 0
2.344  33  0 0 2
2.124  28  3 3 0
1.395  25  1 5 1
1.680  20  1 3 2
2.142  18  5 1 1
1.574  18  3 3 -2
1.438  12  0 2 3

a = 12.7412 Å, b = 7.3582 Å, c = 4.6883 Å
α = 90.00°, β = 90.11°, γ = 90.00°
Space group C2 (No. 5)
Inequivalent atoms, fractional coordinates:
Tb (0.0000, 0.0000, 0.0000)
Tb (0.2032, 0.3907, 0.0000)
Dy (0.0000, 0.3294, 0.5000)
Dy (0.1320, 0.7257, 0.4996)
Rh (0.0000, 0.5938, 0.0000)
Rh (0.1667, 0.0936, 0.5000)